For CsTl2CrI8, the PBE geometry in Alexandria gives the simulated PXRD pattern in this record (Cu Ka).
Lines closer than 0.1° are merged.

Most intense lines, 5° ≤ 2θ ≤ 70°, by angle:
(0 0 1), 8.98°, rel. 60
(0 2 1), 24.35°, rel. 59
(0 0 3), 27.17°, rel. 100
(2 0 1), 27.72°, rel. 92
(1 2 -1), 27.89°, rel. 72
(1 2 2), 28.64°, rel. 65
(2 1 0), 29.69°, rel. 47
(1 -2 2), 31.12°, rel. 81
(-1 2 1), 31.23°, rel. 54
(2 2 3), 38.78°, rel. 53

Structure:
Cell: 6.4873 8.0123 10.2927 Å, 88.82 73.11 82.23°
Space group P-1 (No. 2)
Asymmetric unit:
1 Cs 0.0000 0.0000 0.0000 [1 per cell]
2 Tl 0.2908 0.4488 0.3297 [2 per cell]
3 Cr 0.0000 0.0000 0.5000 [1 per cell]
4 I 0.1516 0.2231 0.6329 [2 per cell]
5 I 0.1945 0.7340 0.6156 [2 per cell]
6 I 0.2530 0.4947 0.9917 [2 per cell]
7 I 0.3530 0.9974 0.2752 [2 per cell]